Simulated powder X-ray diffraction pattern
Compound: YInOsO6
Radiation: Cu Kα (weighted mean of Kα1 and Kα2)
Structure: a DFT-relaxed cell (PBE, Alexandria)
No peak broadening, texture or thermal motion is included.

Top 10 peaks for 2θ = 10–90°, sorted by position:
- hkl 0 0 2, 19.62°, intensity 15
- hkl 1 0 1, 21.17°, intensity 24
- hkl 1 0 2, 27.25°, intensity 100
- hkl 1 1 0, 32.74°, intensity 57
- hkl 1 1 2, 38.46°, intensity 19
- hkl 2 0 2, 43.10°, intensity 29
- hkl 1 1 4, 52.49°, intensity 46
- hkl 2 1 2, 55.16°, intensity 28
- hkl 3 0 0, 58.43°, intensity 19
- hkl 4 -2 4, 82.39°, intensity 12

Cell and atoms:
a b c (Å): 5.4711 5.4711 9.0489
angles (deg): 90.00 90.00 120.00
Element x y z (fractional)
Y 0.3333 0.6667 0.2500
Y 0.6667 0.3333 0.7500
In 0.0000 0.0000 0.0000
In 0.0000 0.0000 0.5000
Os 0.3333 0.6667 0.7500
Os 0.6667 0.3333 0.2500
O 0.0433 0.3675 0.6290
O 0.0433 0.6757 0.8710
O 0.3243 0.3675 0.8710
O 0.3243 0.9567 0.6290
O 0.3675 0.0433 0.1290
O 0.3675 0.3243 0.3710
O 0.6325 0.6757 0.6290
O 0.6325 0.9567 0.8710
O 0.6757 0.0433 0.3710
O 0.6757 0.6325 0.1290
O 0.9567 0.3243 0.1290
O 0.9567 0.6325 0.3710